Computed powder X-ray diffraction pattern
Compound: Li3Fe5Ni2O12
Radiation: CuKα
Structure: the PBE+U geometry in Alexandria
Peak positions follow from Bragg's law for the DFT cell and can differ from measured ones.

Structure:
abc: 5.165 8.868 9.718
angles: 90.00 99.53 90.00
Space group C2 (No. 5)
Asymmetric unit:
Li (0.000, 0.000, 0.000) x2
Li (0.245, 0.825, 0.247) x4
Fe (0.000, 0.343, 0.000) x2
Fe (0.000, 0.492, 0.500) x2
Fe (0.000, 0.832, 0.500) x2
Fe (0.247, 0.164, 0.244) x4
Ni (0.000, 0.158, 0.500) x2
Ni (0.000, 0.664, 0.000) x2
O (0.098, 0.187, 0.876) x4
O (0.102, 0.666, 0.378) x4
O (0.122, 0.812, 0.885) x4
O (0.130, 0.511, 0.891) x4
O (0.137, 0.320, 0.383) x4
O (0.159, 0.995, 0.385) x4

Top 6 peaks for 10 to 90 degrees two-theta, in order of rising 2θ:
2theta, intensity, hkl
18.52, 54, 0 0 2
23.35, 46, 1 1 1
37.14, 40, 1 3 1
42.88, 57, 2 0 2
43.46, 100, 1 3 -3
62.94, 40, 1 3 5